Record 1
Diffraction record for Ba3SmInS6. The powder XRD pattern is theoretical, not measured: it uses DFT lattice parameters and positions (GGA-PBE) and Cu Kα X-rays.
Neutral-atom scattering factors, no anomalous dispersion.

Main lines, in order of rising 2θ (2θ from 5° to 70°):
Position (°2θ)  intensity
14.42  19
23.90  64
25.12  100
30.51  44
30.97  43
33.90  44
34.95  49
39.10  26
44.51  17
45.25  43
50.14  16
67.12  23

Atomic structure:
Unit cell a=8.497 b=8.497 c=8.497 alpha=92.57 beta=92.57 gamma=92.57
Positions (direct):
Ba (0.130, 0.750, 0.370)
Ba (0.250, 0.630, 0.870)
Ba (0.370, 0.130, 0.750)
Ba (0.630, 0.870, 0.250)
Ba (0.750, 0.370, 0.130)
Ba (0.870, 0.250, 0.630)
Sm (0.250, 0.250, 0.250)
Sm (0.750, 0.750, 0.750)
In (0.000, 0.000, 0.000)
In (0.500, 0.500, 0.500)
S (0.041, 0.911, 0.700)
S (0.089, 0.300, 0.959)
S (0.200, 0.411, 0.541)
S (0.300, 0.959, 0.089)
S (0.411, 0.541, 0.200)
S (0.459, 0.800, 0.589)
S (0.541, 0.200, 0.411)
S (0.589, 0.459, 0.800)
S (0.700, 0.041, 0.911)
S (0.800, 0.589, 0.459)
S (0.911, 0.700, 0.041)
S (0.959, 0.089, 0.300)



Record 2
Diffraction record for Li3Ti2P3O12. The powder XRD pattern is theoretical, not measured: it uses DFT lattice parameters and positions (GGA-PBE) and Cu Kα X-rays.
Neutral-atom scattering factors, no anomalous dispersion.

Main lines, in order of rising 2θ (2θ from 5° to 70°):
Position (°2θ)  intensity
14.27  22
24.23  100
25.75  53
32.72  39
34.89  45
35.03  46
36.41  42
39.44  17
44.13  21
49.43  15
63.63  18
63.99  21

Atomic structure:
Unit cell a=4.969 b=4.969 c=18.615 alpha=90.37 beta=90.37 gamma=66.84
Positions (direct):
Li (0.000, 0.000, 0.168)
Li (0.000, 0.000, 0.832)
Li (0.329, 0.329, 0.088)
Li (0.330, 0.330, 0.754)
Li (0.670, 0.670, 0.246)
Li (0.671, 0.671, 0.912)
Ti (0.000, 0.000, 0.000)
Ti (0.000, 0.000, 0.500)
Ti (0.002, 0.002, 0.336)
Ti (0.998, 0.998, 0.664)
P (0.346, 0.346, 0.583)
P (0.348, 0.348, 0.253)
P (0.351, 0.351, 0.919)
P (0.649, 0.649, 0.081)
P (0.652, 0.652, 0.747)
P (0.654, 0.654, 0.417)
O (0.226, 0.691, 0.582)
O (0.232, 0.232, 0.318)
O (0.235, 0.692, 0.259)
O (0.236, 0.236, 0.517)
O (0.239, 0.695, 0.923)
O (0.243, 0.243, 0.987)
O (0.245, 0.245, 0.653)
O (0.250, 0.250, 0.851)
O (0.253, 0.253, 0.183)
O (0.305, 0.761, 0.077)
O (0.308, 0.765, 0.741)
O (0.309, 0.774, 0.418)
O (0.691, 0.226, 0.582)
O (0.692, 0.235, 0.259)
O (0.695, 0.239, 0.923)
O (0.747, 0.747, 0.817)
O (0.750, 0.750, 0.149)
O (0.755, 0.755, 0.347)
O (0.757, 0.757, 0.013)
O (0.761, 0.305, 0.077)
O (0.764, 0.764, 0.483)
O (0.765, 0.308, 0.741)
O (0.768, 0.768, 0.682)
O (0.774, 0.309, 0.418)



Record 3
Diffraction record for CsMg14Cd. The powder XRD pattern is theoretical, not measured: it uses DFT lattice parameters and positions (GGA-PBE) and Cu Kα X-rays.
Neutral-atom scattering factors, no anomalous dispersion.

Main lines, in order of rising 2θ (2θ from 5° to 70°):
Position (°2θ)  intensity
15.48  47
16.47  15
22.68  46
31.26  30
31.78  18
33.30  25
35.53  100
46.32  20
55.63  17
60.96  18
66.40  18
67.77  14

Atomic structure:
Unit cell a=6.608 b=6.608 c=10.762 alpha=90.00 beta=90.00 gamma=120.00
Positions (direct):
Cs (0.000, 0.000, 0.000)
Mg (0.006, 0.503, 0.000)
Mg (0.173, 0.346, 0.270)
Mg (0.173, 0.346, 0.730)
Mg (0.173, 0.827, 0.270)
Mg (0.173, 0.827, 0.730)
Mg (0.497, 0.503, 0.000)
Mg (0.497, 0.994, 0.000)
Mg (0.503, 0.005, 0.500)
Mg (0.503, 0.497, 0.500)
Mg (0.654, 0.827, 0.270)
Mg (0.654, 0.827, 0.730)
Mg (0.667, 0.333, 0.247)
Mg (0.667, 0.333, 0.753)
Mg (0.995, 0.497, 0.500)
Cd (0.000, 0.000, 0.500)